# Cs2RbYCl6
Simulated powder X-ray diffraction pattern, a wavelength of 1.5418 Å. Input: a DFT-relaxed cell (GGA-PBE, the Materials Project).

The 10 most intense peaks (10° ≤ 2θ ≤ 80°), in order of rising 2θ:
- 21.72°, I 100
- 26.68°, I 26
- 30.90°, I 63
- 38.09°, I 45
- 44.27°, I 43
- 49.83°, I 24
- 54.96°, I 14
- 59.79°, I 27
- 68.83°, I 12
- 73.13°, I 17

Crystal structure
a b c (Å): 8.1842 8.1842 8.1842
angles (deg): 60.00 60.00 60.00
Positions (direct):
Cs: 0.2500 0.2500 0.2500
Cs: 0.7500 0.7500 0.7500
Rb: 0.0000 0.0000 0.0000
Y: 0.5000 0.5000 0.5000
Cl: 0.2715 0.2715 0.7285
Cl: 0.2715 0.7285 0.2715
Cl: 0.2715 0.7285 0.7285
Cl: 0.7285 0.2715 0.2715
Cl: 0.7285 0.2715 0.7285
Cl: 0.7285 0.7285 0.2715


# Ca2Al4Si8O33
Simulated powder X-ray diffraction pattern, a wavelength of 1.5418 Å. Input: a DFT-relaxed cell (GGA-PBE, the Materials Project).

The 10 most intense peaks (10° ≤ 2θ ≤ 80°), in order of rising 2θ:
- 12.74°, I 61
- 19.60°, I 45
- 21.03°, I 76
- 23.97°, I 85
- 25.93°, I 100
- 26.70°, I 48
- 26.80°, I 44
- 27.49°, I 42
- 29.80°, I 63
- 36.26°, I 43

Crystal structure
a b c (Å): 10.0239 10.0239 7.4180
angles (deg): 106.33 106.33 83.16
Positions (direct):
Ca: 0.2420 0.2420 0.2730
Ca: 0.7580 0.7580 0.7270
Al: 0.1773 0.5626 0.2697
Al: 0.4374 0.8227 0.7303
Al: 0.5626 0.1773 0.2697
Al: 0.8227 0.4374 0.7303
Si: 0.1445 0.3772 0.8420
Si: 0.3064 0.5398 0.6907
Si: 0.3772 0.1445 0.8420
Si: 0.4602 0.6936 0.3093
Si: 0.5398 0.3064 0.6907
Si: 0.6228 0.8555 0.1580
Si: 0.6936 0.4602 0.3093
Si: 0.8555 0.6228 0.1580
O: 0.0000 0.0000 0.5000
O: 0.0122 0.2485 0.3665
O: 0.0160 0.6501 0.2794
O: 0.0739 0.0739 0.0146
O: 0.1373 0.8627 0.0000
O: 0.1599 0.4053 0.0759
O: 0.1991 0.5133 0.8069
O: 0.2385 0.2385 0.7661
O: 0.2382 0.4740 0.4565
O: 0.2485 0.0122 0.3665
O: 0.2972 0.6699 0.2640
O: 0.3301 0.7028 0.7360
O: 0.3499 0.9840 0.7206
O: 0.4053 0.1599 0.0759
O: 0.4542 0.4542 0.7551
O: 0.4740 0.2382 0.4565
O: 0.4867 0.8009 0.1931
O: 0.5133 0.1991 0.8069
O: 0.5260 0.7618 0.5435
O: 0.5458 0.5458 0.2449
O: 0.5947 0.8401 0.9241
O: 0.6501 0.0160 0.2794
O: 0.6699 0.2972 0.2640
O: 0.7028 0.3301 0.7360
O: 0.7515 0.9878 0.6335
O: 0.7618 0.5260 0.5435
O: 0.7615 0.7615 0.2339
O: 0.8009 0.4867 0.1931
O: 0.8401 0.5947 0.9241
O: 0.8627 0.1373 0.0000
O: 0.9261 0.9261 0.9854
O: 0.9840 0.3499 0.7206
O: 0.9878 0.7515 0.6335